Calculated X-ray diffraction stick pattern of LaMgFeMoO6 for Cu Kα (λ = 1.5418 Å), from DFT lattice parameters and positions (GGA+U).
Intensities are scaled so that the largest is 100.

Main lines, low angle first (2θ = 10–90°):
2θ/deg	I/Imax	index
19.38	50	0 1 1
19.68	23	1 0 0
19.99	30	1 0 -2
31.77	46	0 2 0
32.07	100	1 1 1
32.47	95	1 1 -3
32.91	44	2 0 -2
38.33	30	1 0 -4
46.17	27	0 0 4
46.40	48	2 2 -2
57.10	37	0 2 4
57.99	24	3 1 -1

Structural model:
```
LaMgFeMoO6
1.0
5.444 0.000 0.000
0.000 5.633 0.000
-5.315 0.000 7.864
La Mg Fe Mo O
2 2 2 2 12
Direct
0.000 0.202 0.000 La
0.000 0.798 0.500 La
0.496 0.292 0.522 Mg
0.496 0.708 0.022 Mg
0.236 0.245 0.747 Fe
0.236 0.755 0.247 Fe
0.733 0.264 0.247 Mo
0.733 0.736 0.747 Mo
0.125 0.071 0.313 O
0.125 0.929 0.813 O
0.367 0.490 0.169 O
0.367 0.510 0.669 O
0.484 0.044 0.684 O
0.484 0.956 0.184 O
0.563 0.305 0.990 O
0.563 0.695 0.490 O
0.844 0.219 0.490 O
0.844 0.781 0.990 O
0.956 0.434 0.778 O
0.956 0.566 0.278 O
```